For Ba4NdS5, a DFT-relaxed cell (GGA-PBE, Alexandria) gives the theoretical X-ray diffraction stick pattern in this record (CuKα).
Peak positions follow from Bragg's law for the DFT cell and can differ from measured ones.

Atomic structure:
a = 7.702 Å, b = 7.702 Å, c = 7.702 Å
α = 99.62°, β = 99.62°, γ = 131.73°
Atoms (fractional coordinates):
Ba1 0.097 0.700 0.797
Ba2 0.300 0.097 0.397
Ba3 0.700 0.903 0.603
Ba4 0.903 0.300 0.203
Nd1 0.499 0.499 0.000
S1 0.002 0.002 0.000
S2 0.222 0.407 0.629
S3 0.407 0.778 0.185
S4 0.593 0.222 0.815
S5 0.778 0.593 0.371

Principal peaks in the range 2θ from 10° to 80°, by angle:
- 2θ 24.51, I = 68
- 2θ 28.38, I = 100
- 2θ 40.56, I = 73
- 2θ 47.97, I = 37
- 2θ 50.24, I = 26
- 2θ 64.58, I = 16
- 2θ 66.45, I = 22
- 2θ 66.52, I = 11
- 2θ 73.80, I = 24
- 2θ 79.15, I = 9